Structure and theoretical powder diffractogram of PmGdTh (a structure optimized by DFT (PBE); Cu Kα).
Kinematic intensities with the Lorentz-polarization factor, no thermal factor.

Structure:
```
data_PmGdTh
_cell_length_a 3.611
_cell_length_b 3.611
_cell_length_c 15.201
_cell_angle_alpha 90.00
_cell_angle_beta 90.00
_cell_angle_gamma 90.00
_symmetry_space_group_name_H-M 'I 4 m m'
_symmetry_Int_Tables_number 107
_symmetry_space_group_name_Hall 'I 4 -2'
loop_
_atom_site_label
_atom_site_type_symbol
_atom_site_fract_x
_atom_site_fract_y
_atom_site_fract_z
Pm1 Pm 0.000 0.000 0.000
Gd1 Gd 0.000 0.000 0.317
Th1 Th 0.000 0.000 0.660
```

Principal peaks in the range 2θ from 10° to 90°, by angle:
d/Å	2θ (°)	I (rel.)	index
7.600	11.64	8.0	0 0 2
2.941	30.39	100.0	1 0 3
2.554	35.14	34.6	1 1 0
2.533	35.43	16.0	0 0 6
1.806	50.55	12.5	2 0 0
1.799	50.76	23.3	1 1 6
1.539	60.13	29.4	2 1 3
1.530	60.52	12.8	1 0 9
1.470	63.24	12.1	2 0 6
1.167	82.67	10.8	2 1 9


Structure and theoretical powder diffractogram of PrGdTmPu (a structure optimized by DFT (PBE); Cu Kα).
Kinematic intensities with the Lorentz-polarization factor, no thermal factor.

Structure:
```
data_PrGdTmPu
_cell_length_a 7.983
_cell_length_b 7.983
_cell_length_c 7.983
_cell_angle_alpha 90.00
_cell_angle_beta 90.00
_cell_angle_gamma 90.00
_symmetry_space_group_name_H-M 'F -4 3 m'
_symmetry_Int_Tables_number 216
_symmetry_space_group_name_Hall 'F -4 2 3'
loop_
_atom_site_label
_atom_site_type_symbol
_atom_site_fract_x
_atom_site_fract_y
_atom_site_fract_z
Pr1 Pr 0.000 0.000 0.000
Gd1 Gd 0.250 0.250 0.750
Tm1 Tm 0.000 0.000 0.500
Pu1 Pu 0.250 0.250 0.250
```

Principal peaks in the range 2θ from 10° to 90°, by angle:
d/Å	2θ (°)	I (rel.)	index
4.609	19.26	2.9	1 1 1
3.992	22.27	1.4	2 0 0
2.822	31.70	100.0	2 2 0
2.407	37.36	1.8	3 1 1
1.996	45.45	18.7	4 0 0
1.831	49.79	0.9	3 3 1
1.630	56.47	39.6	4 2 2
1.411	66.22	12.3	4 4 0
1.262	75.29	17.1	6 2 0
1.152	83.99	4.3	4 4 4


Structure and theoretical powder diffractogram of PrGdRu4 (a structure optimized by DFT (PBE); Cu Kα).
Kinematic intensities with the Lorentz-polarization factor, no thermal factor.

Structure:
```
data_PrGdRu4
_cell_length_a 7.641
_cell_length_b 7.641
_cell_length_c 7.641
_cell_angle_alpha 90.00
_cell_angle_beta 90.00
_cell_angle_gamma 90.00
_symmetry_space_group_name_H-M 'F -4 3 m'
_symmetry_Int_Tables_number 216
_symmetry_space_group_name_Hall 'F -4 2 3'
loop_
_atom_site_label
_atom_site_type_symbol
_atom_site_fract_x
_atom_site_fract_y
_atom_site_fract_z
Pr1 Pr 0.000 0.000 0.000
Gd1 Gd 0.250 0.250 0.750
Ru1 Ru 0.125 0.125 0.375
```

Principal peaks in the range 2θ from 10° to 90°, by angle:
d/Å	2θ (°)	I (rel.)	index
2.701	33.16	39.9	2 2 0
2.304	39.10	100.0	3 1 1
2.206	40.92	28.7	2 2 2
1.910	47.61	1.0	4 0 0
1.560	59.25	15.1	4 2 2
1.470	63.24	31.9	5 1 1
1.351	69.61	25.9	4 4 0
1.208	79.30	6.5	6 2 0
1.165	82.85	11.2	5 3 3
1.152	84.02	10.3	6 2 2


Structure and theoretical powder diffractogram of SrPrGd (a structure optimized by DFT (PBE); Cu Kα).
Kinematic intensities with the Lorentz-polarization factor, no thermal factor.

Structure:
```
data_SrPrGd
_cell_length_a 3.793
_cell_length_b 3.793
_cell_length_c 16.393
_cell_angle_alpha 90.00
_cell_angle_beta 90.00
_cell_angle_gamma 90.00
_symmetry_space_group_name_H-M 'I 4 m m'
_symmetry_Int_Tables_number 107
_symmetry_space_group_name_Hall 'I 4 -2'
loop_
_atom_site_label
_atom_site_type_symbol
_atom_site_fract_x
_atom_site_fract_y
_atom_site_fract_z
Sr1 Sr 0.000 0.000 0.000
Pr1 Pr 0.000 0.000 0.680
Gd1 Gd 0.000 0.000 0.321
```

Principal peaks in the range 2θ from 10° to 90°, by angle:
d/Å	2θ (°)	I (rel.)	index
8.196	10.79	16.4	0 0 2
3.116	28.65	100.0	1 0 3
2.732	32.78	15.2	0 0 6
2.682	33.41	35.0	1 1 0
1.914	47.51	21.5	1 1 6
1.896	47.97	12.7	2 0 0
1.642	56.01	11.0	1 0 9
1.620	56.84	29.1	2 1 3
1.558	59.32	11.1	2 0 6
1.241	76.80	9.3	2 1 9


Structure and theoretical powder diffractogram of Tb2PrGd (a structure optimized by DFT (PBE); Cu Kα).
Kinematic intensities with the Lorentz-polarization factor, no thermal factor.

Structure:
```
data_Tb2PrGd
_cell_length_a 5.103
_cell_length_b 5.103
_cell_length_c 5.082
_cell_angle_alpha 90.00
_cell_angle_beta 90.00
_cell_angle_gamma 90.00
_symmetry_space_group_name_H-M 'P 4/m m m'
_symmetry_Int_Tables_number 123
_symmetry_space_group_name_Hall '-P 4 2'
loop_
_atom_site_label
_atom_site_type_symbol
_atom_site_fract_x
_atom_site_fract_y
_atom_site_fract_z
Tb1 Tb 0.000 0.500 0.000
Pr1 Pr 0.000 0.000 0.500
Gd1 Gd 0.500 0.500 0.500
```

Principal peaks in the range 2θ from 10° to 90°, by angle:
d/Å	2θ (°)	I (rel.)	index
2.942	30.38	100.0	1 1 1
2.552	35.17	33.9	2 0 0
2.541	35.32	16.8	0 0 2
1.804	50.59	12.1	2 2 0
1.800	50.70	24.1	2 0 2
1.538	60.16	28.8	3 1 1
1.533	60.36	14.2	1 1 3
1.471	63.21	12.4	2 2 2
1.168	82.57	11.8	3 1 3
1.141	85.04	11.0	4 2 0


Structure and theoretical powder diffractogram of GdPuPt4 (a structure optimized by DFT (PBE); Cu Kα).
Kinematic intensities with the Lorentz-polarization factor, no thermal factor.

Structure:
```
data_GdPuPt4
_cell_length_a 7.724
_cell_length_b 7.724
_cell_length_c 7.724
_cell_angle_alpha 90.00
_cell_angle_beta 90.00
_cell_angle_gamma 90.00
_symmetry_space_group_name_H-M 'F -4 3 m'
_symmetry_Int_Tables_number 216
_symmetry_space_group_name_Hall 'F -4 2 3'
loop_
_atom_site_label
_atom_site_type_symbol
_atom_site_fract_x
_atom_site_fract_y
_atom_site_fract_z
Gd1 Gd 0.000 0.000 0.000
Pu1 Pu 0.250 0.250 0.250
Pt1 Pt 0.125 0.125 0.625
```

Principal peaks in the range 2θ from 10° to 90°, by angle:
d/Å	2θ (°)	I (rel.)	index
4.460	19.91	6.0	1 1 1
2.731	32.79	26.9	2 2 0
2.329	38.66	100.0	3 1 1
2.230	40.45	40.0	2 2 2
1.931	47.06	4.7	4 0 0
1.577	58.54	10.6	4 2 2
1.487	62.48	33.4	5 1 1
1.366	68.74	28.9	4 4 0
1.178	81.76	11.9	5 3 3
1.165	82.91	15.7	6 2 2


Structure and theoretical powder diffractogram of SmGd2Pt (a structure optimized by DFT (PBE); Cu Kα).
Kinematic intensities with the Lorentz-polarization factor, no thermal factor.

Structure:
```
data_SmGd2Pt
_cell_length_a 3.607
_cell_length_b 3.607
_cell_length_c 8.555
_cell_angle_alpha 90.00
_cell_angle_beta 90.00
_cell_angle_gamma 90.00
_symmetry_space_group_name_H-M 'P 4/m m m'
_symmetry_Int_Tables_number 123
_symmetry_space_group_name_Hall '-P 4 2'
loop_
_atom_site_label
_atom_site_type_symbol
_atom_site_fract_x
_atom_site_fract_y
_atom_site_fract_z
Sm1 Sm 0.000 0.000 0.000
Gd1 Gd 0.500 0.500 0.306
Pt1 Pt 0.000 0.000 0.500
```

Principal peaks in the range 2θ from 10° to 90°, by angle:
d/Å	2θ (°)	I (rel.)	index
8.555	10.34	23.3	0 0 1
2.757	32.47	100.0	1 0 2
2.550	35.19	51.5	1 1 0
2.237	40.32	16.4	1 0 3
1.840	49.55	8.1	1 0 4
1.803	50.61	18.5	2 0 0
1.639	56.12	9.7	1 1 4
1.509	61.43	32.5	2 1 2
1.157	83.53	8.1	3 0 2
1.141	85.05	8.5	3 1 0


Structure and theoretical powder diffractogram of GdThZnPt (a structure optimized by DFT (PBE); Cu Kα).
Kinematic intensities with the Lorentz-polarization factor, no thermal factor.

Structure:
```
data_GdThZnPt
_cell_length_a 7.223
_cell_length_b 7.223
_cell_length_c 7.223
_cell_angle_alpha 90.00
_cell_angle_beta 90.00
_cell_angle_gamma 90.00
_symmetry_space_group_name_H-M 'F -4 3 m'
_symmetry_Int_Tables_number 216
_symmetry_space_group_name_Hall 'F -4 2 3'
loop_
_atom_site_label
_atom_site_type_symbol
_atom_site_fract_x
_atom_site_fract_y
_atom_site_fract_z
Gd1 Gd 0.000 0.000 0.000
Th1 Th 0.000 0.000 0.500
Zn1 Zn 0.250 0.250 0.750
Pt1 Pt 0.250 0.250 0.250
```

Principal peaks in the range 2θ from 10° to 90°, by angle:
d/Å	2θ (°)	I (rel.)	index
4.170	21.31	10.5	1 1 1
3.612	24.65	3.9	2 0 0
2.554	35.14	100.0	2 2 0
2.178	41.46	6.0	3 1 1
1.806	50.54	18.0	4 0 0
1.657	55.45	2.7	3 3 1
1.474	63.05	37.2	4 2 2
1.277	74.28	11.5	4 4 0
1.221	78.31	2.1	5 3 1
1.142	84.91	16.6	6 2 0


Structure and theoretical powder diffractogram of GdPu (a structure optimized by DFT (PBE); Cu Kα).
Kinematic intensities with the Lorentz-polarization factor, no thermal factor.

Structure:
```
data_GdPu
_cell_length_a 3.366
_cell_length_b 5.295
_cell_length_c 6.679
_cell_angle_alpha 90.00
_cell_angle_beta 104.20
_cell_angle_gamma 90.00
_symmetry_space_group_name_H-M 'P 1 21/m 1'
_symmetry_Int_Tables_number 11
_symmetry_space_group_name_Hall '-P 2yb'
loop_
_atom_site_label
_atom_site_type_symbol
_atom_site_fract_x
_atom_site_fract_y
_atom_site_fract_z
Gd1 Gd 0.180 0.250 0.363
Pu1 Pu 0.442 0.250 0.883
```

Principal peaks in the range 2θ from 10° to 90°, by angle:
d/Å	2θ (°)	I (rel.)	index
3.257	27.38	24.1	1 0 -1
2.774	32.27	68.7	1 1 -1
2.762	32.41	100.0	0 1 2
2.663	33.65	20.0	1 0 1
2.647	33.87	64.6	0 2 0
1.878	48.48	14.6	1 2 1
1.618	56.89	17.1	0 0 4
1.554	59.50	15.9	1 1 3
1.550	59.65	24.1	0 3 2
1.381	67.88	14.3	0 2 4


Structure and theoretical powder diffractogram of GdPuTl2 (a structure optimized by DFT (PBE); Cu Kα).
Kinematic intensities with the Lorentz-polarization factor, no thermal factor.

Structure:
```
data_GdPuTl2
_cell_length_a 4.988
_cell_length_b 4.988
_cell_length_c 4.489
_cell_angle_alpha 90.00
_cell_angle_beta 90.00
_cell_angle_gamma 90.00
_symmetry_space_group_name_H-M 'P 4/m m m'
_symmetry_Int_Tables_number 123
_symmetry_space_group_name_Hall '-P 4 2'
loop_
_atom_site_label
_atom_site_type_symbol
_atom_site_fract_x
_atom_site_fract_y
_atom_site_fract_z
Gd1 Gd 0.000 0.000 0.000
Pu1 Pu 0.500 0.500 0.000
Tl1 Tl 0.000 0.500 0.500
```

Principal peaks in the range 2θ from 10° to 90°, by angle:
d/Å	2θ (°)	I (rel.)	index
2.773	32.28	100.0	1 1 1
2.494	36.01	37.5	2 0 0
2.244	40.18	13.9	0 0 2
1.764	51.84	13.5	2 2 0
1.668	55.04	22.6	2 0 2
1.488	62.40	31.2	3 1 1
1.387	67.55	12.3	2 2 2
1.377	68.07	12.1	1 1 3
1.137	85.34	6.7	3 3 1
1.115	87.44	6.4	4 2 0


Structure and theoretical powder diffractogram of GdYPu (a structure optimized by DFT (PBE); Cu Kα).
Kinematic intensities with the Lorentz-polarization factor, no thermal factor.

Structure:
```
data_GdYPu
_cell_length_a 3.5304
_cell_length_b 3.5304
_cell_length_c 8.5976
_cell_angle_alpha 90.00
_cell_angle_beta 90.00
_cell_angle_gamma 120.00
_symmetry_space_group_name_H-M 'P 3 m 1'
_symmetry_Int_Tables_number 156
_symmetry_space_group_name_Hall 'P 3 -2"'
loop_
_atom_site_label
_atom_site_type_symbol
_atom_site_fract_x
_atom_site_fract_y
_atom_site_fract_z
Gd1 Gd 0.0000 0.0000 0.0000
Y1 Y 0.6667 0.3333 0.3435
Pu1 Pu 0.3333 0.6667 0.6716
```

Principal peaks in the range 2θ from 10° to 90°, by angle:
d/Å	2θ (°)	I (rel.)	index
8.598	10.29	26.8	0 0 1
2.881	31.04	100.0	1 0 1
2.866	31.21	30.9	0 0 3
2.492	36.05	68.6	0 1 2
1.765	51.79	22.8	1 1 0
1.758	52.01	23.4	1 0 4
1.504	61.68	41.3	0 2 1
1.499	61.91	14.8	0 1 5
1.440	64.72	12.7	2 0 2
1.145	84.62	12.2	2 1 1


Structure and theoretical powder diffractogram of Gd2Re3Si5 (a structure optimized by DFT (PBE); Cu Kα).
Kinematic intensities with the Lorentz-polarization factor, no thermal factor.

Structure:
```
data_Gd2Re3Si5
_cell_length_a 11.009
_cell_length_b 11.009
_cell_length_c 5.565
_cell_angle_alpha 90.00
_cell_angle_beta 90.00
_cell_angle_gamma 90.00
_symmetry_space_group_name_H-M 'P 4/m n c'
_symmetry_Int_Tables_number 128
_symmetry_space_group_name_Hall '-P 4 2n'
loop_
_atom_site_label
_atom_site_type_symbol
_atom_site_fract_x
_atom_site_fract_y
_atom_site_fract_z
Gd1 Gd 0.077 0.237 0.000
Re1 Re 0.000 0.500 0.250
Re2 Re 0.123 0.853 0.500
Si1 Si 0.000 0.000 0.245
Si2 Si 0.028 0.314 0.500
Si3 Si 0.172 0.672 0.250
```

Principal peaks in the range 2θ from 10° to 90°, by angle:
d/Å	2θ (°)	I (rel.)	index
3.481	25.59	100.0	3 1 0
3.063	29.16	35.4	3 0 1
2.951	30.28	83.8	3 1 1
2.620	34.22	44.4	1 1 2
2.462	36.50	54.1	4 2 0
2.407	37.35	85.1	4 1 1
2.263	39.83	53.9	2 2 2
2.047	44.25	40.8	4 3 1
1.957	46.41	31.8	4 0 2
1.898	47.94	37.8	3 3 2